Calculated PXRD pattern
Compound: Zr2FeH5
Radiation: Cu Kα (weighted mean of Kα1 and Kα2)
Structure: a PBE-relaxed structure

Atomic structure:
```
32
Lattice="6.899 0.000 0.000 0.000 6.899 0.000 0.000 0.000 5.638" Properties=species:S:1:pos:R:3 pbc="T T T"
Zr 0.610 4.060 1.410
Zr 0.610 6.289 4.229
Zr 2.839 4.060 4.229
Zr 2.839 6.289 1.410
Zr 4.060 0.610 4.229
Zr 4.060 2.839 1.410
Zr 6.289 0.610 1.410
Zr 6.289 2.839 4.229
Fe 1.725 1.725 0.057
Fe 1.725 1.725 2.876
Fe 5.174 5.174 2.762
Fe 5.174 5.174 5.581
H 0.253 1.154 3.228
H 0.253 2.295 0.409
H 1.154 0.253 0.409
H 1.154 3.196 3.228
H 1.725 5.174 0.000
H 1.725 5.174 2.819
H 2.295 0.253 3.228
H 2.295 3.196 0.409
H 3.196 1.154 0.409
H 3.196 2.295 3.228
H 3.703 4.604 2.410
H 3.703 5.745 5.229
H 4.604 3.703 5.229
H 4.604 6.646 2.410
H 5.174 1.725 0.000
H 5.174 1.725 2.819
H 5.745 3.703 2.410
H 5.745 6.646 5.229
H 6.646 4.604 5.229
H 6.646 5.745 2.410
```

Peak list (12 most intense, 15 to 90 degrees two-theta, low angle first)
two_theta	Rel. int.
31.7	105
33.1	1000
36.8	309
41.4	586
57.4	362
60.0	51
63.2	106
66.4	227
76.2	167
78.4	62
81.3	106
84.2	46